This entry pairs a crystal structure of Pa4BeGe8 with its simulated powder X-ray diffraction pattern. Radiation: λ = 1.5418 Å (Cu Kα). Structure: the PBE geometry in Alexandria.

Principal peaks in the range 10° ≤ 2θ ≤ 90°, low angle first:
h k l	d (Å)	I (rel.)
0 0 4	3.961	22
1 0 2	3.604	29
0 0 6	2.643	16
1 1 3	2.526	100
0 1 5	2.506	18
1 0 6	2.213	15
0 2 0	2.044	16
2 0 0	2.023	16
1 0 8	1.779	19
0 1 9	1.618	16
1 2 6	1.502	13
2 1 9	1.263	14

Cell and atoms:
```
data_Pa4BeGe8
_chemical_formula_sum 'Pa4 Be1 Ge8'
_cell_length_a 4.0454
_cell_length_b 4.0886
_cell_length_c 15.8589
_cell_angle_alpha 90.00
_cell_angle_beta 90.00
_cell_angle_gamma 90.00
_space_group_name_H-M_alt 'P m m 2'
_space_group_IT_number 25
loop_
_space_group_symop_operation_xyz
'x,y,z'
'-x,-y,z'
'-x,y,z'
'x,-y,z'
loop_
_atom_site_label
_atom_site_fract_x
_atom_site_fract_y
_atom_site_fract_z
_atom_site_occupancy
Pa1 0.0000 0.0000 0.0000 1
Pa2 0.0000 0.5000 0.4943 1
Pa3 0.5000 0.0000 0.7883 1
Pa4 0.5000 0.5000 0.2868 1
Be1 0.0000 0.5000 0.7102 1
Ge1 0.0000 0.0000 0.3333 1
Ge2 0.0000 0.0000 0.6363 1
Ge3 0.0000 0.5000 0.1444 1
Ge4 0.0000 0.5000 0.8509 1
Ge5 0.5000 0.0000 0.1435 1
Ge6 0.5000 0.0000 0.4461 1
Ge7 0.5000 0.5000 0.6367 1
Ge8 0.5000 0.5000 0.9606 1
```